RbAsH: calculated PXRD pattern (Cu Ka), based on the PBE geometry in Alexandria.
No peak broadening, texture or thermal motion is included.

Atomic structure:
```
data_RbAsH
_cell_length_a 6.115
_cell_length_b 4.245
_cell_length_c 6.148
_cell_angle_alpha 90.00
_cell_angle_beta 107.13
_cell_angle_gamma 90.00
_symmetry_space_group_name_H-M 'P 1 2 1'
_symmetry_Int_Tables_number 3
_symmetry_space_group_name_Hall 'P 2y'
loop_
_atom_site_label
_atom_site_type_symbol
_atom_site_fract_x
_atom_site_fract_y
_atom_site_fract_z
_atom_site_occupancy
Rb1 Rb 0.217 0.000 0.276 1
As1 As 0.321 0.478 0.832 1
H1 H 0.337 0.831 0.764 1
```

Top 12 peaks for 2θ = 10–80°, most intense first:
hkl, two_theta, I/Imax
1 1 -1, 27.73, 100.0
1 1 1, 32.39, 45.5
2 0 0, 30.59, 26.0
0 1 1, 25.92, 25.4
0 0 2, 30.43, 24.3
2 0 -2, 36.43, 19.5
0 2 0, 42.60, 16.3
1 0 -2, 29.75, 12.6
3 1 -1, 49.65, 11.9
3 1 0, 51.63, 10.9
3 1 -2, 52.78, 10.6
2 2 0, 53.35, 10.2